[1]
For PaTe2H2, a cell relaxed with PBE gives the theoretical XRD peak list in this record (copper Kα).

Principal peaks in the range 2θ = 15–90°, most intense first:
(hkl)	two_theta	I/Imax
0 1 2	27.50	1000
1 0 7	38.67	629
0 1 5	33.13	577
1 1 0	46.43	379
1 1 9	60.13	246
0 0 9	36.02	179
1 0 4	30.83	164
0 2 7	61.96	159
2 0 2	54.81	151
2 1 7	80.83	150

Cell and atoms:
Unit cell a=3.9118 b=3.9118 c=22.4404 alpha=90.00 beta=90.00 gamma=120.00
Space group R-3m (No. 166, hexagonal axes)
Unique sites:
Pa 0.0000 0.0000 0.0000 (multiplicity 3)
Te 0.0000 0.0000 0.4300 (multiplicity 6)
H 0.0000 0.0000 0.3146 (multiplicity 6)



[2]
For Al2TeRu, a cell relaxed with PBE gives the theoretical XRD peak list in this record (copper Kα).

Principal peaks in the range 2θ = 15–90°, most intense first:
(hkl)	two_theta	I/Imax
1 1 1	43.25	1000
0 0 2	21.59	966
0 1 2	36.45	825
1 0 1	31.36	766
1 0 3	44.47	566
0 1 0	29.01	348
0 1 4	53.57	261
1 1 3	53.98	243
1 1 5	72.09	220
1 2 3	77.79	212

Cell and atoms:
Unit cell a=3.0403 b=3.0775 c=8.2328 alpha=90.00 beta=90.00 gamma=90.00
Space group Pmmm (No. 47)
Unique sites:
Al 0.0000 0.0000 0.1687 (multiplicity 2)
Te 0.0000 0.5000 0.5000 (multiplicity 1)
Ru 0.5000 0.5000 0.0000 (multiplicity 1)